Simulated powder diffractogram
Compound: Ba3FeO5
Radiation: Cu Kα (λ = 1.5418 Å)
Structure: the PBE+U geometry in Alexandria
No peak broadening, texture or thermal motion is included.

```
data_Ba3FeO5
_chemical_formula_sum 'Ba6 Fe2 O10'
_cell_length_a 7.9338
_cell_length_b 7.9338
_cell_length_c 7.9338
_cell_angle_alpha 124.74
_cell_angle_beta 124.74
_cell_angle_gamma 81.96
_space_group_name_H-M_alt 'P 1'
_space_group_IT_number 1
loop_
_space_group_symop_operation_xyz
'x,y,z'
loop_
_atom_site_label
_atom_site_fract_x
_atom_site_fract_y
_atom_site_fract_z
_atom_site_occupancy
Ba1 0.1752 0.6752 0.8503 1
Ba2 0.2500 0.2500 0.0000 1
Ba3 0.3248 0.1752 0.5000 1
Ba4 0.6752 0.8248 0.5000 1
Ba5 0.7500 0.7500 0.0000 1
Ba6 0.8248 0.3248 0.1497 1
Fe1 0.2500 0.7500 0.5000 1
Fe2 0.7500 0.2500 0.5000 1
O1 0.0000 0.0000 0.0000 1
O2 0.0134 0.7895 0.5000 1
O3 0.2105 0.7105 0.2239 1
O4 0.2895 0.5134 0.5000 1
O5 0.4866 0.9866 0.7761 1
O6 0.5000 0.5000 0.0000 1
O7 0.5134 0.0134 0.2239 1
O8 0.7105 0.4866 0.5000 1
O9 0.7895 0.2895 0.7761 1
O10 0.9866 0.2105 0.5000 1
```

Largest 10 diffraction maxima, by intensity, 10° ≤ 2θ ≤ 90°:
2theta  I_rel
28.5  100
35.3  60
28.1  49
29.8  36
34.5  28
38.7  26
46.2  21
52.1  20
46.9  17
51.8  16